# 1
Diffraction record for Pr3Hg8. The PXRD pattern is simulated, not measured: it uses the PBE geometry in Alexandria and Cu Kα, 1.54184 Å.
Intensities are scaled so that the largest is 1000.

Principal peaks in the range 10° ≤ 2θ ≤ 90°, by angle:
2.722 Å, 32.91 deg, I 904, hkl 0 1 11; 2.547 Å, 35.24 deg, I 1000, hkl 1 1 0; 2.314 Å, 38.93 deg, I 57, hkl 0 1 14; 1.860 Å, 48.98 deg, I 301, hkl 2 0 11; 1.610 Å, 57.23 deg, I 90, hkl 1 0 22; 1.502 Å, 61.76 deg, I 302, hkl 1 2 11; 1.471 Å, 63.23 deg, I 187, hkl 3 0 0; 1.438 Å, 64.82 deg, I 62, hkl 1 0 25; 1.273 Å, 74.51 deg, I 126, hkl 2 2 0; 1.200 Å, 79.93 deg, I 70, hkl 2 1 22; 1.153 Å, 83.88 deg, I 138, hkl 3 1 11; 1.124 Å, 86.61 deg, I 59, hkl 2 1 25

Structure:
```
data_Pr3Hg8
_symmetry_space_group_name_H-M 'R -3 m'
_symmetry_Int_Tables_number 166
_symmetry_space_group_name_Hall '-R 3 2"'
_cell_length_a 5.0942
_cell_length_b 5.0942
_cell_length_c 38.0391
_cell_angle_alpha 90.00
_cell_angle_beta 90.00
_cell_angle_gamma 120.00
loop_
_atom_site_label
_atom_site_fract_x
_atom_site_fract_y
_atom_site_fract_z
_atom_site_occupancy
Pr1 0.0000 0.0000 0.0000 1
Pr2 0.0000 0.0000 0.4507 1
Hg1 0.0000 0.0000 0.0849 1
Hg2 0.0000 0.0000 0.1659 1
Hg3 0.0000 0.0000 0.2743 1
Hg4 0.0000 0.0000 0.3641 1
```

---

# 2
Diffraction record for Pr5Hg7. The PXRD pattern is simulated, not measured: it uses the PBE geometry in Alexandria and Cu Kα, 1.54184 Å.
Intensities are scaled so that the largest is 1000.

Principal peaks in the range 10° ≤ 2θ ≤ 90°, by angle:
3.188 Å, 27.99 deg, I 297, hkl 2 0 -4; 3.032 Å, 29.46 deg, I 625, hkl 2 0 3; 2.746 Å, 32.60 deg, I 550, hkl 1 1 4; 2.615 Å, 34.29 deg, I 885, hkl 0 2 0; 2.611 Å, 34.34 deg, I 1000, hkl 3 1 -1; 1.979 Å, 45.86 deg, I 189, hkl 2 2 3; 1.893 Å, 48.07 deg, I 189, hkl 4 0 3; 1.849 Å, 49.28 deg, I 140, hkl 4 0 -6; 1.655 Å, 55.52 deg, I 148, hkl 3 1 -8; 1.533 Å, 60.40 deg, I 192, hkl 4 2 3; 1.509 Å, 61.45 deg, I 287, hkl 3 3 -1; 1.507 Å, 61.52 deg, I 142, hkl 6 0 -2

Structure:
```
data_Pr5Hg7
_symmetry_space_group_name_H-M 'C 1 2/m 1'
_symmetry_Int_Tables_number 12
_cell_length_a 9.043
_cell_length_b 5.227
_cell_length_c 15.282
_cell_angle_alpha 90.00
_cell_angle_beta 101.48
_cell_angle_gamma 90.00
loop_
_symmetry_equiv_pos_as_xyz
'x,y,z'
'-x,-y,-z'
'-x,y,-z'
'x,-y,z'
'x+1/2,y+1/2,z'
'-x+1/2,-y+1/2,-z'
'-x+1/2,y+1/2,-z'
'x+1/2,-y+1/2,z'
loop_
_atom_site_label
_atom_site_fract_x
_atom_site_fract_y
_atom_site_fract_z
_atom_site_occupancy
Pr1 0.000 0.000 0.000 1
Pr2 0.099 0.500 0.797 1
Pr3 0.140 0.000 0.421 1
Hg1 0.000 0.500 0.500 1
Hg2 0.070 0.000 0.212 1
Hg3 0.196 0.500 0.087 1
Hg4 0.224 0.000 0.669 1
```

---

# 3
Diffraction record for Pr3HgPt8. The PXRD pattern is simulated, not measured: it uses the PBE geometry in Alexandria and Cu Kα, 1.54184 Å.
Intensities are scaled so that the largest is 1000.

Principal peaks in the range 10° ≤ 2θ ≤ 90°, by angle:
4.498 Å, 19.74 deg, I 132, hkl 0 1 2; 2.754 Å, 32.51 deg, I 204, hkl 1 1 0; 2.349 Å, 38.32 deg, I 1000, hkl 1 1 6; 2.249 Å, 40.10 deg, I 482, hkl 0 0 12; 1.948 Å, 46.64 deg, I 88, hkl 2 0 8; 1.590 Å, 57.99 deg, I 53, hkl 1 2 8; 1.500 Å, 61.87 deg, I 195, hkl 2 0 14; 1.499 Å, 61.92 deg, I 127, hkl 3 0 6; 1.377 Å, 68.09 deg, I 291, hkl 2 2 0; 1.188 Å, 80.96 deg, I 86, hkl 0 4 2; 1.175 Å, 82.04 deg, I 141, hkl 2 2 12; 1.174 Å, 82.11 deg, I 47, hkl 4 0 4

Structure:
```
data_Pr3HgPt8
_symmetry_space_group_name_H-M 'R 3 m'
_symmetry_Int_Tables_number 160
_symmetry_space_group_name_Hall 'R 3 -2"'
_cell_length_a 5.5052
_cell_length_b 5.5052
_cell_length_c 27.0182
_cell_angle_alpha 90.00
_cell_angle_beta 90.00
_cell_angle_gamma 120.00
loop_
_atom_site_label
_atom_site_fract_x
_atom_site_fract_y
_atom_site_fract_z
_atom_site_occupancy
Pr1 0.0000 0.0000 0.0000 1
Pr2 0.0000 0.0000 0.1291 1
Pr3 0.0000 0.0000 0.6144 1
Hg1 0.0000 0.0000 0.4930 1
Pt1 0.0000 0.0000 0.3101 1
Pt2 0.0000 0.0000 0.8102 1
Pt3 0.0039 0.5019 0.5612 1
Pt4 0.1673 0.3345 0.3922 1
```

---

# 4
Diffraction record for PrPuHg5. The PXRD pattern is simulated, not measured: it uses the PBE geometry in Alexandria and Cu Kα, 1.54184 Å.
Intensities are scaled so that the largest is 1000.

Principal peaks in the range 10° ≤ 2θ ≤ 90°, by angle:
2.652 Å, 33.80 deg, I 1000, hkl 1 1 2; 2.524 Å, 35.57 deg, I 230, hkl 0 2 0; 2.225 Å, 40.54 deg, I 132, hkl 0 0 4; 2.184 Å, 41.34 deg, I 167, hkl 2 0 0; 1.669 Å, 55.02 deg, I 110, hkl 0 2 4; 1.651 Å, 55.66 deg, I 130, hkl 2 2 0; 1.559 Å, 59.29 deg, I 91, hkl 2 0 4; 1.481 Å, 62.76 deg, I 172, hkl 1 3 2; 1.353 Å, 69.46 deg, I 87, hkl 1 1 6; 1.335 Å, 70.57 deg, I 123, hkl 3 1 2; 1.326 Å, 71.09 deg, I 104, hkl 2 2 4; 1.092 Å, 89.78 deg, I 57, hkl 4 0 0

Structure:
```
data_PrPuHg5
_symmetry_space_group_name_H-M 'P m m m'
_symmetry_Int_Tables_number 47
_cell_length_a 4.368
_cell_length_b 5.047
_cell_length_c 8.901
_cell_angle_alpha 90.00
_cell_angle_beta 90.00
_cell_angle_gamma 90.00
loop_
_symmetry_equiv_pos_as_xyz
'x,y,z'
'-x,-y,-z'
'-x,-y,z'
'x,y,-z'
'x,-y,-z'
'-x,y,z'
'-x,y,-z'
'x,-y,z'
loop_
_atom_site_label
_atom_site_fract_x
_atom_site_fract_y
_atom_site_fract_z
_atom_site_occupancy
Pr1 0.000 0.000 0.000 1
Pu1 0.500 0.500 0.500 1
Hg1 0.000 0.500 0.247 1
Hg2 0.500 0.000 0.283 1
Hg3 0.500 0.500 0.000 1
```

---

# 5
Diffraction record for Pr2Hg3Rh2. The PXRD pattern is simulated, not measured: it uses the PBE geometry in Alexandria and Cu Kα, 1.54184 Å.
Intensities are scaled so that the largest is 1000.

Principal peaks in the range 10° ≤ 2θ ≤ 90°, by angle:
4.063 Å, 21.87 deg, I 624, hkl 0 1 0; 3.487 Å, 25.54 deg, I 506, hkl 1 0 1; 2.820 Å, 31.73 deg, I 418, hkl 0 1 3; 2.792 Å, 32.06 deg, I 817, hkl 1 1 0; 2.646 Å, 33.87 deg, I 366, hkl 1 1 1; 2.543 Å, 35.30 deg, I 1000, hkl 1 0 -4; 2.413 Å, 37.27 deg, I 966, hkl 1 1 2; 2.350 Å, 38.30 deg, I 440, hkl 0 0 5; 2.155 Å, 41.91 deg, I 349, hkl 1 1 -4; 2.032 Å, 44.59 deg, I 580, hkl 0 2 0; 1.947 Å, 46.65 deg, I 373, hkl 2 0 -1; 1.587 Å, 58.12 deg, I 480, hkl 1 2 3

Structure:
```
data_Pr2Hg3Rh2
_symmetry_space_group_name_H-M 'P 1 2/m 1'
_symmetry_Int_Tables_number 10
_cell_length_a 3.894
_cell_length_b 4.063
_cell_length_c 11.914
_cell_angle_alpha 90.00
_cell_angle_beta 99.51
_cell_angle_gamma 90.00
loop_
_symmetry_equiv_pos_as_xyz
'x,y,z'
'-x,-y,-z'
'-x,y,-z'
'x,-y,z'
loop_
_atom_site_label
_atom_site_fract_x
_atom_site_fract_y
_atom_site_fract_z
_atom_site_occupancy
Pr1 0.089 0.000 0.178 1
Hg1 0.204 0.500 0.408 1
Hg2 0.500 0.500 0.000 1
Rh1 0.383 0.500 0.765 1
```

---

# 6
Diffraction record for Pr4HgRh2. The PXRD pattern is simulated, not measured: it uses the PBE geometry in Alexandria and Cu Kα, 1.54184 Å.
Intensities are scaled so that the largest is 1000.

Principal peaks in the range 10° ≤ 2θ ≤ 90°, by angle:
4.746 Å, 18.70 deg, I 320, hkl 2 0 0; 3.355 Å, 26.57 deg, I 402, hkl 4 0 -2; 2.997 Å, 29.81 deg, I 1000, hkl 1 3 -1; 2.536 Å, 35.39 deg, I 897, hkl 1 1 2; 2.373 Å, 37.91 deg, I 292, hkl 4 0 0; 2.024 Å, 44.77 deg, I 152, hkl 0 2 3; 2.020 Å, 44.86 deg, I 151, hkl 6 2 -3; 1.935 Å, 46.95 deg, I 141, hkl 0 4 2; 1.933 Å, 47.00 deg, I 137, hkl 4 4 -2; 1.859 Å, 49.00 deg, I 241, hkl 2 4 1; 1.627 Å, 56.57 deg, I 157, hkl 5 3 -5; 1.204 Å, 79.65 deg, I 146, hkl 4 6 -5

Structure:
```
data_Pr4HgRh2
_symmetry_space_group_name_H-M 'C 1 2/c 1'
_symmetry_Int_Tables_number 15
_cell_length_a 13.406
_cell_length_b 9.468
_cell_length_c 9.491
_cell_angle_alpha 90.00
_cell_angle_beta 134.91
_cell_angle_gamma 90.00
loop_
_symmetry_equiv_pos_as_xyz
'x,y,z'
'-x,-y,-z'
'-x,y,-z+1/2'
'x,-y,z+1/2'
'x+1/2,y+1/2,z'
'-x+1/2,-y+1/2,-z'
'-x+1/2,y+1/2,-z+1/2'
'x+1/2,-y+1/2,z+1/2'
loop_
_atom_site_label
_atom_site_fract_x
_atom_site_fract_y
_atom_site_fract_z
_atom_site_occupancy
Pr1 0.000 0.211 0.066 1
Pr2 0.184 0.461 0.933 1
Hg1 0.000 0.125 0.750 1
Rh1 0.000 0.500 0.000 1
Rh2 0.250 0.250 0.500 1
```

---

# 7
Diffraction record for Pr3Hg2Rh. The PXRD pattern is simulated, not measured: it uses the PBE geometry in Alexandria and Cu Kα, 1.54184 Å.
Intensities are scaled so that the largest is 1000.

Principal peaks in the range 10° ≤ 2θ ≤ 90°, by angle:
3.108 Å, 28.73 deg, I 1000, hkl 2 0 2; 3.037 Å, 29.41 deg, I 226, hkl 1 1 2; 3.025 Å, 29.53 deg, I 569, hkl 0 2 0; 2.676 Å, 33.48 deg, I 285, hkl 5 1 0; 2.485 Å, 36.15 deg, I 245, hkl 6 0 0; 2.168 Å, 41.67 deg, I 739, hkl 2 2 2; 1.990 Å, 45.58 deg, I 188, hkl 2 0 -4; 1.921 Å, 47.32 deg, I 134, hkl 6 2 0; 1.663 Å, 55.25 deg, I 198, hkl 2 2 -4; 1.627 Å, 56.58 deg, I 203, hkl 7 1 2; 1.360 Å, 69.06 deg, I 167, hkl 2 4 2; 1.180 Å, 81.57 deg, I 132, hkl 6 2 -6

Structure:
```
data_Pr3Hg2Rh
_symmetry_space_group_name_H-M 'C 1 2/c 1'
_symmetry_Int_Tables_number 15
_cell_length_a 15.440
_cell_length_b 6.050
_cell_length_c 7.961
_cell_angle_alpha 90.00
_cell_angle_beta 104.92
_cell_angle_gamma 90.00
loop_
_symmetry_equiv_pos_as_xyz
'x,y,z'
'-x,-y,-z'
'-x,y,-z+1/2'
'x,-y,z+1/2'
'x+1/2,y+1/2,z'
'-x+1/2,-y+1/2,-z'
'-x+1/2,y+1/2,-z+1/2'
'x+1/2,-y+1/2,z+1/2'
loop_
_atom_site_label
_atom_site_fract_x
_atom_site_fract_y
_atom_site_fract_z
_atom_site_occupancy
Pr1 0.000 0.001 0.250 1
Pr2 0.134 0.500 0.067 1
Hg1 0.190 0.000 0.095 1
Rh1 0.000 0.499 0.750 1
```